No. 1
# Pm3Er3Tm5
Theoretical X-ray powder pattern, Cu Kα X-rays. Input: the PBE geometry in Alexandria.
No peak broadening, texture or thermal motion is included.

Atomic structure:
```
data_Pm3Er3Tm5
_chemical_formula_sum 'Pm3 Er3 Tm5'
_symmetry_space_group_name_H-M 'P -6 2 m'
_symmetry_Int_Tables_number 189
_symmetry_space_group_name_Hall 'P -6 -2'
_cell_length_a 9.5953
_cell_length_b 9.5953
_cell_length_c 5.3911
_cell_angle_alpha 90.00
_cell_angle_beta 90.00
_cell_angle_gamma 120.00
loop_
_atom_site_label
_atom_site_fract_x
_atom_site_fract_y
_atom_site_fract_z
Pm1 0.0000 0.3686 0.0000
Er1 0.0000 0.5528 0.5000
Tm1 0.0000 0.7375 0.0000
Tm2 0.3333 0.6667 0.0000
```

Main lines, in order of rising 2θ (5° ≤ 2θ ≤ 70°):
- 2θ = 10.65°, intensity 43, (1 0 0)
- 2θ = 16.44°, intensity 67, (0 0 1)
- 2θ = 27.10°, intensity 80, (2 0 1)
- 2θ = 28.42°, intensity 42, (2 1 0)
- 2θ = 32.32°, intensity 56, (3 0 0)
- 2θ = 33.01°, intensity 100, (2 1 1)
- 2θ = 33.24°, intensity 61, (0 0 2)
- 2θ = 36.47°, intensity 87, (3 0 1)
- 2θ = 42.67°, intensity 40, (3 1 1)
- 2θ = 61.51°, intensity 40, (3 0 3)

=====

No. 2
# Pm6Er3Tm
Theoretical X-ray powder pattern, Cu Kα X-rays. Input: the PBE geometry in Alexandria.
No peak broadening, texture or thermal motion is included.

Atomic structure:
```
data_Pm6Er3Tm
_chemical_formula_sum 'Pm12 Er6 Tm2'
_symmetry_space_group_name_H-M 'P 1 21/c 1'
_symmetry_Int_Tables_number 14
_cell_length_a 6.094
_cell_length_b 9.379
_cell_length_c 13.136
_cell_angle_alpha 90.00
_cell_angle_beta 117.24
_cell_angle_gamma 90.00
loop_
_symmetry_equiv_pos_as_xyz
'x,y,z'
'-x,-y,-z'
'-x,y+1/2,-z+1/2'
'x,-y+1/2,z+1/2'
loop_
_atom_site_label
_atom_site_fract_x
_atom_site_fract_y
_atom_site_fract_z
Pm1 0.079 0.156 0.081
Pm2 0.373 0.031 0.750
Pm3 0.418 0.157 0.420
Er1 0.000 0.000 0.500
Er2 0.143 0.678 0.750
Tm1 0.500 0.000 0.000
```

Main lines, in order of rising 2θ (5° ≤ 2θ ≤ 70°):
- 2θ = 25.15°, intensity 21, (1 2 -2)
- 2θ = 28.75°, intensity 35, (1 1 2)
- 2θ = 28.91°, intensity 34, (1 1 -4)
- 2θ = 29.31°, intensity 36, (2 0 -2)
- 2θ = 29.83°, intensity 57, (0 2 3)
- 2θ = 30.62°, intensity 16, (0 0 4)
- 2θ = 32.18°, intensity 100, (1 3 -1)
- 2θ = 35.31°, intensity 14, (1 1 3)
- 2θ = 35.50°, intensity 14, (1 1 -5)
- 2θ = 56.51°, intensity 19, (1 5 2)

=====

No. 3
# PmEr3Tm7
Theoretical X-ray powder pattern, Cu Kα X-rays. Input: the PBE geometry in Alexandria.
No peak broadening, texture or thermal motion is included.

Atomic structure:
```
data_PmEr3Tm7
_chemical_formula_sum 'Pm1 Er3 Tm7'
_symmetry_space_group_name_H-M 'P 3 m 1'
_symmetry_Int_Tables_number 156
_cell_length_a 6.9649
_cell_length_b 6.9649
_cell_length_c 8.5018
_cell_angle_alpha 90.00
_cell_angle_beta 90.00
_cell_angle_gamma 120.00
loop_
_symmetry_equiv_pos_as_xyz
'x,y,z'
'-y,x-y,z'
'-x+y,-x,z'
'-y,-x,z'
'-x+y,y,z'
'x,x-y,z'
loop_
_atom_site_label
_atom_site_fract_x
_atom_site_fract_y
_atom_site_fract_z
Pm1 0.0000 0.0000 0.0000
Er1 0.1672 0.3344 0.3370
Tm1 0.0024 0.5012 0.9999
Tm2 0.3313 0.1656 0.6697
Tm3 0.3333 0.6667 0.6706
```

Main lines, in order of rising 2θ (5° ≤ 2θ ≤ 70°):
- 2θ = 14.69°, intensity 4, (1 0 0)
- 2θ = 18.03°, intensity 5, (1 0 1)
- 2θ = 25.62°, intensity 3, (0 1 2)
- 2θ = 31.50°, intensity 100, (0 2 1)
- 2θ = 36.53°, intensity 51, (2 0 2)
- 2θ = 52.56°, intensity 18, (2 2 0)
- 2θ = 52.68°, intensity 18, (0 2 4)
- 2θ = 62.60°, intensity 32, (4 0 1)
- 2θ = 62.73°, intensity 11, (2 0 5)
- 2θ = 65.70°, intensity 9, (0 4 2)

=====

No. 4
# PmEr4Tm4
Theoretical X-ray powder pattern, Cu Kα X-rays. Input: the PBE geometry in Alexandria.
No peak broadening, texture or thermal motion is included.

Atomic structure:
```
data_PmEr4Tm4
_chemical_formula_sum 'Pm4 Er16 Tm16'
_symmetry_space_group_name_H-M 'C 1 2/m 1'
_symmetry_Int_Tables_number 12
_cell_length_a 6.203
_cell_length_b 17.010
_cell_length_c 10.725
_cell_angle_alpha 90.00
_cell_angle_beta 99.44
_cell_angle_gamma 90.00
loop_
_symmetry_equiv_pos_as_xyz
'x,y,z'
'-x,-y,-z'
'-x,y,-z'
'x,-y,z'
'x+1/2,y+1/2,z'
'-x+1/2,-y+1/2,-z'
'-x+1/2,y+1/2,-z'
'x+1/2,-y+1/2,z'
loop_
_atom_site_label
_atom_site_fract_x
_atom_site_fract_y
_atom_site_fract_z
Pm1 0.224 0.000 0.282
Er1 0.006 0.187 0.667
Er2 0.226 0.000 0.613
Er3 0.227 0.000 0.947
Tm1 0.000 0.186 0.000
Tm2 0.000 0.357 0.500
Tm3 0.001 0.358 0.835
```

Main lines, in order of rising 2θ (5° ≤ 2θ ≤ 70°):
- 2θ = 30.05°, intensity 29, (1 5 0)
- 2θ = 31.07°, intensity 53, (2 2 0)
- 2θ = 31.37°, intensity 100, (1 3 -3)
- 2θ = 31.56°, intensity 40, (0 6 0)
- 2θ = 31.73°, intensity 54, (1 1 3)
- 2θ = 33.00°, intensity 27, (0 4 3)
- 2θ = 36.17°, intensity 36, (2 4 0)
- 2θ = 41.24°, intensity 17, (1 5 3)
- 2θ = 56.57°, intensity 22, (2 8 -3)
- 2θ = 58.16°, intensity 21, (3 3 3)

=====

No. 5
# Pm2Er3Tm4
Theoretical X-ray powder pattern, Cu Kα X-rays. Input: the PBE geometry in Alexandria.
No peak broadening, texture or thermal motion is included.

Atomic structure:
```
data_Pm2Er3Tm4
_chemical_formula_sum 'Pm8 Er12 Tm16'
_symmetry_space_group_name_H-M 'C 1 2/c 1'
_symmetry_Int_Tables_number 15
_cell_length_a 16.539
_cell_length_b 11.519
_cell_length_c 5.928
_cell_angle_alpha 90.00
_cell_angle_beta 97.10
_cell_angle_gamma 90.00
loop_
_symmetry_equiv_pos_as_xyz
'x,y,z'
'-x,-y,-z'
'-x,y,-z+1/2'
'x,-y,z+1/2'
'x+1/2,y+1/2,z'
'-x+1/2,-y+1/2,-z'
'-x+1/2,y+1/2,-z+1/2'
'x+1/2,-y+1/2,z+1/2'
loop_
_atom_site_label
_atom_site_fract_x
_atom_site_fract_y
_atom_site_fract_z
Pm1 0.105 0.113 0.279
Er1 0.000 0.152 0.750
Er2 0.164 0.348 0.587
Tm1 0.062 0.393 0.045
Tm2 0.233 0.108 0.872
```

Main lines, in order of rising 2θ (5° ≤ 2θ ≤ 70°):
- 2θ = 30.50°, intensity 62, (5 1 -1)
- 2θ = 31.05°, intensity 48, (0 4 0)
- 2θ = 31.20°, intensity 60, (1 1 -2)
- 2θ = 32.11°, intensity 100, (4 2 1)
- 2θ = 37.82°, intensity 34, (5 3 -1)
- 2θ = 38.40°, intensity 28, (1 3 -2)
- 2θ = 50.68°, intensity 14, (9 1 0)
- 2θ = 52.06°, intensity 12, (3 1 3)
- 2θ = 56.57°, intensity 21, (6 2 -3)
- 2θ = 58.74°, intensity 12, (6 6 0)

=====

No. 6
# Pm2Er3Tm8
Theoretical X-ray powder pattern, Cu Kα X-rays. Input: the PBE geometry in Alexandria.
No peak broadening, texture or thermal motion is included.

Atomic structure:
```
data_Pm2Er3Tm8
_chemical_formula_sum 'Pm4 Er6 Tm16'
_symmetry_space_group_name_H-M 'C m m m'
_symmetry_Int_Tables_number 65
_symmetry_space_group_name_Hall '-C 2 2'
_cell_length_a 7.510
_cell_length_b 20.599
_cell_length_c 5.471
_cell_angle_alpha 90.00
_cell_angle_beta 90.00
_cell_angle_gamma 90.00
loop_
_atom_site_label
_atom_site_fract_x
_atom_site_fract_y
_atom_site_fract_z
Pm1 0.000 0.241 0.000
Er1 0.000 0.000 0.000
Er2 0.215 0.500 0.500
Tm1 0.000 0.129 0.500
Tm2 0.000 0.339 0.500
Tm3 0.215 0.392 0.000
```

Main lines, in order of rising 2θ (5° ≤ 2θ ≤ 70°):
- 2θ = 25.25°, intensity 16, (2 2 0)
- 2θ = 29.64°, intensity 26, (1 5 1)
- 2θ = 30.75°, intensity 28, (0 6 1)
- 2θ = 32.74°, intensity 36, (0 0 2)
- 2θ = 33.78°, intensity 100, (2 4 1)
- 2θ = 34.84°, intensity 14, (0 8 0)
- 2θ = 41.79°, intensity 11, (2 2 2)
- 2θ = 48.53°, intensity 20, (4 0 0)
- 2θ = 59.10°, intensity 21, (2 4 3)
- 2θ = 68.67°, intensity 12, (0 0 4)

=====

No. 7
# Pm8Er3Tm2
Theoretical X-ray powder pattern, Cu Kα X-rays. Input: the PBE geometry in Alexandria.
No peak broadening, texture or thermal motion is included.

Atomic structure:
```
data_Pm8Er3Tm2
_chemical_formula_sum 'Pm16 Er6 Tm4'
_symmetry_space_group_name_H-M 'I m m m'
_symmetry_Int_Tables_number 71
_symmetry_space_group_name_Hall '-I 2 2'
_cell_length_a 3.662
_cell_length_b 11.538
_cell_length_c 20.378
_cell_angle_alpha 90.00
_cell_angle_beta 90.00
_cell_angle_gamma 90.00
loop_
_atom_site_label
_atom_site_fract_x
_atom_site_fract_y
_atom_site_fract_z
Pm1 0.000 0.000 0.076
Pm2 0.000 0.000 0.369
Pm3 0.000 0.248 0.170
Er1 0.000 0.261 0.500
Er2 0.000 0.500 0.000
Tm1 0.000 0.500 0.277
```

Main lines, in order of rising 2θ (5° ≤ 2θ ≤ 70°):
- 2θ = 30.54°, intensity 26, (0 2 6)
- 2θ = 31.03°, intensity 65, (0 4 0)
- 2θ = 31.78°, intensity 100, (1 2 3)
- 2θ = 38.26°, intensity 12, (1 3 4)
- 2θ = 38.80°, intensity 13, (0 3 7)
- 2θ = 47.19°, intensity 11, (1 0 9)
- 2θ = 49.80°, intensity 10, (2 0 0)
- 2θ = 55.64°, intensity 20, (1 6 3)
- 2θ = 57.54°, intensity 11, (1 4 9)
- 2θ = 59.82°, intensity 12, (2 4 0)

=====

No. 8
# Pm4ErTm10
Theoretical X-ray powder pattern, Cu Kα X-rays. Input: the PBE geometry in Alexandria.
No peak broadening, texture or thermal motion is included.

Atomic structure:
```
data_Pm4ErTm10
_chemical_formula_sum 'Pm8 Er2 Tm20'
_symmetry_space_group_name_H-M 'I 4/m m m'
_symmetry_Int_Tables_number 139
_symmetry_space_group_name_Hall '-I 4 2'
_cell_length_a 11.159
_cell_length_b 11.159
_cell_length_c 7.879
_cell_angle_alpha 90.00
_cell_angle_beta 90.00
_cell_angle_gamma 90.00
loop_
_atom_site_label
_atom_site_fract_x
_atom_site_fract_y
_atom_site_fract_z
Pm1 0.228 0.228 0.000
Er1 0.000 0.000 0.000
Tm1 0.000 0.208 0.294
Tm2 0.000 0.500 0.250
```

Main lines, in order of rising 2θ (5° ≤ 2θ ≤ 70°):
- 2θ = 27.72°, intensity 25, (2 0 2)
- 2θ = 31.05°, intensity 26, (3 2 1)
- 2θ = 32.10°, intensity 100, (4 0 0)
- 2θ = 34.10°, intensity 35, (3 3 0)
- 2θ = 35.10°, intensity 16, (1 0 3)
- 2θ = 41.27°, intensity 32, (3 3 2)
- 2θ = 46.04°, intensity 19, (0 0 4)
- 2θ = 53.91°, intensity 15, (5 0 3)
- 2θ = 57.24°, intensity 16, (4 0 4)
- 2θ = 68.30°, intensity 17, (7 3 2)